(1)
# Cd2H3Ir
Calculated PXRD pattern, a wavelength of 1.5418 Å. Input: a crystal structure in Alexandria, relaxed with GGA-PBE.

Structural model:
```
12
Lattice="0.0000 4.8221 5.8482 2.8323 0.0000 5.8482 2.8323 4.8221 0.0000" Properties=species:S:1:pos:R:3 pbc="T T T"
Cd 2.8323 1.7282 5.8482
Cd 1.4162 2.4110 2.9241
Cd 4.2485 7.2331 8.7722
Cd 2.8323 7.9160 5.8482
H 4.5787 4.8221 4.6678
H 4.5787 4.8221 7.0286
H 2.8323 4.8221 4.0291
H 2.8323 4.8221 7.6672
H 1.0860 4.8221 4.6678
H 1.0860 4.8221 7.0286
Ir 2.8323 4.8221 2.3986
Ir 2.8323 4.8221 9.2977
```

Principal peaks in the range 10 to 90 degrees two-theta, low angle first:
5.848 Å, 2θ = 15.1°, I = 57
4.507 Å, 2θ = 19.7°, I = 53
2.924 Å, 2θ = 30.6°, I = 40
2.442 Å, 2θ = 36.8°, I = 28
2.272 Å, 2θ = 39.7°, I = 54
2.254 Å, 2θ = 40.0°, I = 100
2.229 Å, 2θ = 40.5°, I = 36
2.110 Å, 2θ = 42.9°, I = 38

(2)
# Ho5Si10Ir4
Calculated PXRD pattern, a wavelength of 1.5418 Å. Input: a crystal structure in Alexandria, relaxed with GGA-PBE.

Structural model:
```
38
Lattice="12.6220 0.0000 0.0000 0.0000 12.6220 0.0000 0.0000 0.0000 4.2542" Properties=species:S:1:pos:R:3 pbc="T T T"
Ho 0.0000 0.0000 0.0000
Ho 1.4428 4.8682 2.1271
Ho 2.2120 8.5230 2.1271
Ho 4.0989 2.2120 2.1271
Ho 4.8682 11.1791 2.1271
Ho 6.3110 6.3110 0.0000
Ho 7.7538 1.4428 2.1271
Ho 8.5230 10.4099 2.1271
Ho 10.4099 4.0989 2.1271
Ho 11.1791 7.7538 2.1271
Si 0.0197 10.6437 2.1271
Si 0.8352 7.1462 0.0000
Si 1.9782 0.0197 2.1271
Si 2.0729 2.5411 0.0000
Si 2.5411 10.5491 0.0000
Si 3.7699 4.2381 0.0000
Si 4.2381 8.8521 0.0000
Si 4.3328 6.3307 2.1271
Si 5.4758 0.8352 0.0000
Si 6.2913 4.3328 2.1271
Si 6.3307 8.2892 2.1271
Si 7.1462 11.7868 0.0000
Si 8.2892 6.2913 2.1271
Si 8.3839 3.7699 0.0000
Si 8.8521 8.3839 0.0000
Si 10.0809 2.0729 0.0000
Si 10.5491 10.0809 0.0000
Si 10.6437 12.6023 2.1271
Si 11.7868 5.4758 0.0000
Si 12.6023 1.9782 2.1271
Ir 0.2524 9.5312 0.0000
Ir 3.0907 0.2524 0.0000
Ir 3.2203 6.5634 0.0000
Ir 6.0586 3.2203 0.0000
Ir 6.5634 9.4017 0.0000
Ir 9.4017 6.0586 0.0000
Ir 9.5312 12.3696 0.0000
Ir 12.3696 3.0907 0.0000
```

Principal peaks in the range 10 to 90 degrees two-theta, low angle first:
4.463 Å, 2θ = 19.9°, I = 24
3.991 Å, 2θ = 22.3°, I = 23
3.079 Å, 2θ = 29.0°, I = 35
2.534 Å, 2θ = 35.4°, I = 100
2.485 Å, 2θ = 36.1°, I = 36
2.438 Å, 2θ = 36.9°, I = 29
2.231 Å, 2θ = 40.4°, I = 25
2.127 Å, 2θ = 42.5°, I = 33

(3)
# LiFeAs
Calculated PXRD pattern, a wavelength of 1.5418 Å. Input: a crystal structure in Alexandria, relaxed with GGA-PBE.

Structural model:
```
6
Lattice="3.7780 0.0000 0.0000 0.0000 3.7780 0.0000 0.0000 0.0000 6.1225" Properties=species:S:1:pos:R:3 pbc="T T T"
Li 0.9445 0.9445 1.0139
Li 2.8335 2.8335 5.1086
Fe 0.9445 2.8335 3.0613
Fe 2.8335 0.9445 3.0613
As 0.9445 0.9445 4.4437
As 2.8335 2.8335 1.6788
```

Principal peaks in the range 10 to 90 degrees two-theta, low angle first:
6.123 Å, 2θ = 14.5°, I = 100
3.215 Å, 2θ = 27.7°, I = 91
2.449 Å, 2θ = 36.7°, I = 21
2.013 Å, 2θ = 45.0°, I = 84
1.889 Å, 2θ = 48.2°, I = 37
1.629 Å, 2θ = 56.5°, I = 24
1.622 Å, 2θ = 56.8°, I = 17
1.113 Å, 2θ = 87.7°, I = 23

(4)
# YCdAg2
Calculated PXRD pattern, a wavelength of 1.5418 Å. Input: a crystal structure in Alexandria, relaxed with GGA-PBE.

Structural model:
```
4
Lattice="3.4946 0.0000 0.0000 0.0000 3.7151 0.0000 0.0000 0.0000 6.7536" Properties=species:S:1:pos:R:3 pbc="T T T"
Y 0.0000 0.0000 0.0000
Cd 1.7473 1.8576 4.7427
Ag 0.0000 0.0000 3.2556
Ag 1.7473 1.8576 1.7498
```

Principal peaks in the range 10 to 90 degrees two-theta, low angle first:
2.545 Å, 2θ = 35.3°, I = 100
2.499 Å, 2θ = 35.9°, I = 88
2.428 Å, 2θ = 37.0°, I = 81
1.858 Å, 2θ = 49.0°, I = 19
1.747 Å, 2θ = 52.4°, I = 15
1.475 Å, 2θ = 63.0°, I = 32
1.432 Å, 2θ = 65.1°, I = 29
1.407 Å, 2θ = 66.4°, I = 21

(5)
# Hg2Bi
Calculated PXRD pattern, a wavelength of 1.5418 Å. Input: a crystal structure in Alexandria, relaxed with GGA-PBE.

Structural model:
```
3
Lattice="3.1741 0.0000 0.0000 -0.5037 5.6435 0.0000 -0.5018 -2.8077 4.8994" Properties=species:S:1:pos:R:3 pbc="T T T"
Hg -0.2460 -0.0091 1.6415
Hg 2.4146 2.8449 3.2579
Bi -0.2518 2.8217 0.0000
```

Principal peaks in the range 10 to 90 degrees two-theta, low angle first:
3.125 Å, 2θ = 28.6°, I = 65
2.830 Å, 2θ = 31.6°, I = 50
2.823 Å, 2θ = 31.7°, I = 100
2.308 Å, 2θ = 39.0°, I = 29
2.192 Å, 2θ = 41.2°, I = 50
2.009 Å, 2θ = 45.1°, I = 39
1.936 Å, 2θ = 46.9°, I = 17
1.633 Å, 2θ = 56.4°, I = 20

(6)
# Y2AlFe5B2
Calculated PXRD pattern, a wavelength of 1.5418 Å. Input: a crystal structure in Alexandria, relaxed with GGA-PBE.

Structural model:
```
20
Lattice="9.0513 0.0000 0.0000 0.0000 9.0513 0.0000 0.0000 0.0000 3.1778" Properties=species:S:1:pos:R:3 pbc="T T T"
Y 1.6192 2.9065 0.0000
Y 2.9065 7.4321 0.0000
Y 6.1448 1.6192 0.0000
Y 7.4321 6.1448 0.0000
Al 0.0000 0.0000 0.0000
Al 4.5257 4.5257 0.0000
Fe 0.0000 4.5257 1.5889
Fe 0.6125 6.9624 1.5889
Fe 2.0889 0.6125 1.5889
Fe 2.4368 5.1382 1.5889
Fe 3.9131 2.4368 1.5889
Fe 4.5257 0.0000 1.5889
Fe 5.1382 6.6145 1.5889
Fe 6.6145 3.9131 1.5889
Fe 6.9624 8.4388 1.5889
Fe 8.4388 2.0889 1.5889
B 1.0613 5.5869 0.0000
B 3.4644 1.0613 0.0000
B 5.5869 7.9900 0.0000
B 7.9900 3.4644 0.0000
```

Principal peaks in the range 10 to 90 degrees two-theta, low angle first:
2.500 Å, 2θ = 35.9°, I = 100
2.255 Å, 2θ = 40.0°, I = 36
2.195 Å, 2θ = 41.1°, I = 82
2.133 Å, 2θ = 42.4°, I = 23
2.127 Å, 2θ = 42.5°, I = 68
2.024 Å, 2θ = 44.8°, I = 26
1.970 Å, 2θ = 46.1°, I = 30
1.287 Å, 2θ = 73.6°, I = 26

(7)
# Cs2Hg3F10
Calculated PXRD pattern, a wavelength of 1.5418 Å. Input: a crystal structure in Alexandria, relaxed with GGA-PBE.

Structural model:
```
30
Lattice="10.4317 -3.5149 0.0000 10.4317 3.5149 0.0000 -3.3280 0.0000 8.3215" Properties=species:S:1:pos:R:3 pbc="T T T"
Cs 1.5952 0.0000 1.8261
Cs 1.6240 0.0000 6.8172
Cs 15.9113 0.0000 1.5043
Cs 15.9402 0.0000 6.4954
Hg 8.7677 1.7789 4.1608
Hg 5.0093 0.0000 4.0251
Hg 8.6629 0.0000 0.2489
Hg 8.8725 0.0000 8.0726
Hg 12.5260 0.0000 4.2964
Hg 8.7677 -1.7789 4.1608
F 3.5518 1.7574 4.1608
F -1.8595 0.0000 5.6549
F 7.2698 1.5972 0.0792
F 6.5635 1.6975 3.9749
F 4.7744 0.0000 1.9915
F 10.4317 1.3527 0.0000
F 5.1144 0.0000 6.0881
F 10.9719 1.6975 4.3466
F 10.2655 1.5972 8.2423
F 8.8959 0.0000 2.6315
F 3.5518 -1.7574 4.1608
F 8.6394 0.0000 5.6900
F 7.2698 -1.5972 0.0792
F 6.5635 -1.6975 3.9749
F 12.4209 0.0000 2.2334
F 10.4317 -1.3527 0.0000
F 12.7609 0.0000 6.3300
F 10.9719 -1.6975 4.3466
F 10.2655 -1.5972 8.2423
F 19.3948 0.0000 2.6666
```

Principal peaks in the range 10 to 90 degrees two-theta, low angle first:
4.161 Å, 2θ = 21.4°, I = 46
3.741 Å, 2θ = 23.8°, I = 66
3.714 Å, 2θ = 24.0°, I = 81
3.668 Å, 2θ = 24.3°, I = 83
3.477 Å, 2θ = 25.6°, I = 100
2.839 Å, 2θ = 31.5°, I = 44
2.472 Å, 2θ = 36.3°, I = 44
2.059 Å, 2θ = 44.0°, I = 48